# 1
This entry pairs a crystal structure of Pa4GaIr with its computed powder diffraction line list. Radiation: Cu Kα (weighted mean of Kα1 and Kα2). Structure: DFT lattice parameters and positions (GGA-PBE).
Peak positions follow from Bragg's law for the DFT cell and can differ from measured ones.

Atomic structure:
Cell: 6.0666 6.4555 7.0497 Å, 90.00 90.00 90.00°
Space group P222 (No. 16)
Unique sites:
Pa1 0.1731 0.2348 0.1785 (multiplicity 4)
Pa2 0.2427 0.3484 0.6661 (multiplicity 4)
Ga1 0.5000 0.0000 0.5000 (multiplicity 1)
Ga2 0.5000 0.5000 0.0000 (multiplicity 1)
Ir1 0.0000 0.0000 0.5000 (multiplicity 1)
Ir2 0.5000 0.0000 0.0000 (multiplicity 1)

Most intense lines, 5° ≤ 2θ ≤ 70°, in order of rising 2θ:
2θ = 32.49°, 2.756 Å, I 100; 2θ = 32.62°, 2.745 Å, I 22; 2θ = 33.93°, 2.642 Å, I 60; 2θ = 35.08°, 2.558 Å, I 29; 2θ = 37.79°, 2.380 Å, I 31; 2θ = 39.18°, 2.299 Å, I 32; 2θ = 40.83°, 2.210 Å, I 40; 2θ = 56.19°, 1.637 Å, I 27

# 2
This entry pairs a crystal structure of ScPaGa4Ir2 with its computed powder diffraction line list. Radiation: Cu Kα (weighted mean of Kα1 and Kα2). Structure: DFT lattice parameters and positions (GGA-PBE).
Peak positions follow from Bragg's law for the DFT cell and can differ from measured ones.

Atomic structure:
Cell: 3.7679 3.7679 10.9247 Å, 90.00 90.00 90.00°
Space group P4/mmm (No. 123)
Unique sites:
Sc1 0.0000 0.0000 0.0000 (multiplicity 1)
Pa1 0.0000 0.0000 0.5000 (multiplicity 1)
Ga1 0.0000 0.5000 0.2040 (multiplicity 4)
Ir1 0.5000 0.5000 0.3785 (multiplicity 2)

Most intense lines, 5° ≤ 2θ ≤ 70°, in order of rising 2θ:
2θ = 8.09°, 10.925 Å, I 100; 2θ = 28.78°, 3.102 Å, I 12; 2θ = 34.24°, 2.619 Å, I 21; 2θ = 34.65°, 2.588 Å, I 32; 2θ = 37.56°, 2.395 Å, I 25; 2θ = 40.81°, 2.211 Å, I 30; 2θ = 48.31°, 1.884 Å, I 19; 2θ = 65.04°, 1.434 Å, I 15

# 3
This entry pairs a crystal structure of Ga4IrPd with its computed powder diffraction line list. Radiation: Cu Kα (weighted mean of Kα1 and Kα2). Structure: DFT lattice parameters and positions (GGA-PBE).
Peak positions follow from Bragg's law for the DFT cell and can differ from measured ones.

Atomic structure:
Cell: 12.6856 2.9971 5.3947 Å, 90.00 96.76 90.00°
Space group C2/m (No. 12)
Unique sites:
Ga1 0.1490 0.0000 0.2111 (multiplicity 4)
Ga2 0.1507 0.5000 0.7202 (multiplicity 4)
Ir1 0.0000 0.5000 0.0000 (multiplicity 2)
Pd1 0.0000 0.0000 0.5000 (multiplicity 2)

Most intense lines, 5° ≤ 2θ ≤ 70°, in order of rising 2θ:
2θ = 14.06°, 6.299 Å, I 82; 2θ = 34.82°, 2.577 Å, I 53; 2θ = 35.45°, 2.532 Å, I 100; 2θ = 41.72°, 2.165 Å, I 52; 2θ = 43.08°, 2.100 Å, I 34; 2θ = 47.05°, 1.931 Å, I 33; 2θ = 48.72°, 1.869 Å, I 58; 2θ = 60.01°, 1.542 Å, I 31

# 4
This entry pairs a crystal structure of Ga6IrPd3 with its computed powder diffraction line list. Radiation: Cu Kα (weighted mean of Kα1 and Kα2). Structure: DFT lattice parameters and positions (GGA-PBE).
Peak positions follow from Bragg's law for the DFT cell and can differ from measured ones.

Atomic structure:
Cell: 6.7866 6.4028 9.7529 Å, 90.00 125.35 90.00°
Space group P2_1/c (No. 14)
Unique sites:
Ga1 0.0551 0.0138 0.2738 (multiplicity 4)
Ga2 0.2380 0.6712 0.0857 (multiplicity 4)
Ga3 0.3946 0.1304 0.0568 (multiplicity 4)
Ir1 0.0000 0.0000 0.0000 (multiplicity 2)
Pd1 0.2967 0.1685 0.7510 (multiplicity 4)
Pd2 0.5000 0.0000 0.5000 (multiplicity 2)

Most intense lines, 5° ≤ 2θ ≤ 70°, in order of rising 2θ:
2θ = 28.09°, 3.176 Å, I 54; 2θ = 30.74°, 2.909 Å, I 40; 2θ = 31.02°, 2.883 Å, I 91; 2θ = 37.37°, 2.406 Å, I 53; 2θ = 43.21°, 2.094 Å, I 80; 2θ = 44.54°, 2.034 Å, I 100; 2θ = 45.84°, 1.980 Å, I 83; 2θ = 47.30°, 1.922 Å, I 44

# 5
This entry pairs a crystal structure of Pm2Ga4Ir3Pd with its computed powder diffraction line list. Radiation: Cu Kα (weighted mean of Kα1 and Kα2). Structure: DFT lattice parameters and positions (GGA-PBE).
Peak positions follow from Bragg's law for the DFT cell and can differ from measured ones.

Atomic structure:
Cell: 4.2586 4.2586 10.4041 Å, 90.00 90.00 90.00°
Space group P-4m2 (No. 115)
Unique sites:
Pm1 0.0000 0.5000 0.2482 (multiplicity 2)
Ga1 0.0000 0.0000 0.5000 (multiplicity 1)
Ga2 0.0000 0.5000 0.8713 (multiplicity 2)
Ga3 0.5000 0.5000 0.5000 (multiplicity 1)
Ir1 0.0000 0.0000 0.0000 (multiplicity 1)
Ir2 0.0000 0.5000 0.6335 (multiplicity 2)
Pd1 0.5000 0.5000 0.0000 (multiplicity 1)

Most intense lines, 5° ≤ 2θ ≤ 70°, in order of rising 2θ:
2θ = 33.32°, 2.689 Å, I 66; 2θ = 34.41°, 2.606 Å, I 100; 2θ = 42.45°, 2.129 Å, I 71; 2θ = 46.11°, 1.968 Å, I 32; 2θ = 48.70°, 1.870 Å, I 33; 2θ = 55.01°, 1.669 Å, I 32; 2θ = 61.60°, 1.506 Å, I 23; 2θ = 66.56°, 1.405 Å, I 26

# 6
This entry pairs a crystal structure of PmGa5Ir2Pd with its computed powder diffraction line list. Radiation: Cu Kα (weighted mean of Kα1 and Kα2). Structure: DFT lattice parameters and positions (GGA-PBE).
Peak positions follow from Bragg's law for the DFT cell and can differ from measured ones.

Atomic structure:
Cell: 4.8086 4.8086 7.7229 Å, 90.00 90.00 90.00°
Space group P4/mmm (No. 123)
Unique sites:
Pm1 0.0000 0.0000 0.0000 (multiplicity 1)
Ga1 0.0000 0.5000 0.3186 (multiplicity 4)
Ga2 0.5000 0.5000 0.0000 (multiplicity 1)
Ir1 0.5000 0.5000 0.2969 (multiplicity 2)
Pd1 0.0000 0.0000 0.5000 (multiplicity 1)

Most intense lines, 5° ≤ 2θ ≤ 70°, in order of rising 2θ:
2θ = 18.45°, 4.809 Å, I 21; 2θ = 26.21°, 3.400 Å, I 43; 2θ = 29.67°, 3.011 Å, I 91; 2θ = 34.85°, 2.574 Å, I 29; 2θ = 37.40°, 2.404 Å, I 100; 2θ = 48.45°, 1.879 Å, I 47; 2θ = 52.05°, 1.757 Å, I 36; 2θ = 53.93°, 1.700 Å, I 35

# 7
This entry pairs a crystal structure of Sm2Ga4Ir3Pd with its computed powder diffraction line list. Radiation: Cu Kα (weighted mean of Kα1 and Kα2). Structure: DFT lattice parameters and positions (GGA-PBE).
Peak positions follow from Bragg's law for the DFT cell and can differ from measured ones.

Atomic structure:
Cell: 4.2419 4.2419 10.4302 Å, 90.00 90.00 90.00°
Space group P-4m2 (No. 115)
Unique sites:
Sm1 0.0000 0.5000 0.2483 (multiplicity 2)
Ga1 0.0000 0.0000 0.5000 (multiplicity 1)
Ga2 0.0000 0.5000 0.8710 (multiplicity 2)
Ga3 0.5000 0.5000 0.5000 (multiplicity 1)
Ir1 0.0000 0.0000 0.0000 (multiplicity 1)
Ir2 0.0000 0.5000 0.6343 (multiplicity 2)
Pd1 0.5000 0.5000 0.0000 (multiplicity 1)

Most intense lines, 5° ≤ 2θ ≤ 70°, in order of rising 2θ:
2θ = 33.32°, 2.689 Å, I 66; 2θ = 34.49°, 2.600 Å, I 100; 2θ = 42.63°, 2.121 Å, I 71; 2θ = 46.13°, 1.968 Å, I 31; 2θ = 48.64°, 1.872 Å, I 34; 2θ = 55.15°, 1.665 Å, I 32; 2θ = 61.87°, 1.500 Å, I 23; 2θ = 66.64°, 1.403 Å, I 27

# 8
This entry pairs a crystal structure of TbGa4Ir2Pd with its computed powder diffraction line list. Radiation: Cu Kα (weighted mean of Kα1 and Kα2). Structure: DFT lattice parameters and positions (GGA-PBE).
Peak positions follow from Bragg's law for the DFT cell and can differ from measured ones.

Atomic structure:
Cell: 4.2874 4.2874 25.5745 Å, 90.00 90.00 120.00°
Space group R-3m (No. 166, hexagonal axes)
Unique sites:
Tb1 0.0000 0.0000 0.0000 (multiplicity 3)
Ga1 0.0000 0.0000 0.1295 (multiplicity 6)
Ga2 0.0000 0.0000 0.3972 (multiplicity 6)
Ir1 0.0000 0.0000 0.2359 (multiplicity 6)
Pd1 0.0000 0.0000 0.5000 (multiplicity 3)

Most intense lines, 5° ≤ 2θ ≤ 70°, in order of rising 2θ:
2θ = 10.38°, 8.525 Å, I 14; 2θ = 27.78°, 3.211 Å, I 42; 2θ = 29.73°, 3.005 Å, I 21; 2θ = 37.11°, 2.423 Å, I 94; 2θ = 42.15°, 2.144 Å, I 100; 2θ = 46.06°, 1.971 Å, I 21; 2θ = 52.65°, 1.738 Å, I 10; 2θ = 57.40°, 1.605 Å, I 26